[1]
Simulated powder diffraction line list
Compound: PmSmB
Radiation: Cu Kα, 1.54184 Å
Structure: a DFT-relaxed cell (PBE, Alexandria)

Principal peaks in the range 10 to 90 degrees two-theta, by intensity:
d_spacing	Position (°2θ)	intensity
3.139	28.43	100.0
3.045	29.33	84.0
2.748	32.59	70.4
1.869	48.72	45.4
2.550	35.19	32.0
1.667	55.11	29.1
1.624	56.68	19.5
1.991	45.55	15.4
1.569	58.84	14.4
1.564	59.08	13.0

Structure:
```
data_PmSmB
_chemical_formula_sum 'Pm2 Sm2 B2'
_symmetry_space_group_name_H-M 'P 1'
_symmetry_Int_Tables_number 1
_cell_length_a 5.100
_cell_length_b 5.500
_cell_length_c 5.503
_cell_angle_alpha 92.76
_cell_angle_beta 90.00
_cell_angle_gamma 90.00
loop_
_symmetry_equiv_pos_as_xyz
'x,y,z'
loop_
_atom_site_label
_atom_site_fract_x
_atom_site_fract_y
_atom_site_fract_z
Pm1 0.000 0.000 0.000
Pm2 0.500 0.050 0.552
Sm1 0.500 0.550 0.052
Sm2 0.999 0.499 0.502
B1 0.499 0.574 0.576
B2 0.500 0.075 0.077
```

=====

[2]
Simulated powder diffraction line list
Compound: Tl15InHg4
Radiation: Cu Kα, 1.54184 Å
Structure: a DFT-relaxed cell (PBE, Alexandria)

Principal peaks in the range 10 to 90 degrees two-theta, by intensity:
d_spacing	Position (°2θ)	intensity
2.830	31.62	100.0
2.441	36.83	33.5
1.473	63.10	28.5
1.737	52.71	24.3
2.471	36.35	17.3
1.487	62.46	14.6
1.415	66.03	12.5
1.126	86.38	12.4
1.726	53.07	11.9
1.121	86.94	6.2

Structure:
```
data_Tl15InHg4
_chemical_formula_sum 'Tl15 In1 Hg4'
_symmetry_space_group_name_H-M 'P 4/m m m'
_symmetry_Int_Tables_number 123
_symmetry_space_group_name_Hall '-P 4 2'
_cell_length_a 4.881
_cell_length_b 4.881
_cell_length_c 24.714
_cell_angle_alpha 90.00
_cell_angle_beta 90.00
_cell_angle_gamma 90.00
loop_
_atom_site_label
_atom_site_fract_x
_atom_site_fract_y
_atom_site_fract_z
Tl1 0.000 0.000 0.000
Tl2 0.000 0.000 0.201
Tl3 0.000 0.000 0.401
Tl4 0.000 0.500 0.100
Tl5 0.000 0.500 0.301
Tl6 0.000 0.500 0.500
In1 0.500 0.500 0.000
Hg1 0.500 0.500 0.202
Hg2 0.500 0.500 0.400
```

=====

[3]
Simulated powder diffraction line list
Compound: Ce2P2Ru2N
Radiation: Cu Kα, 1.54184 Å
Structure: a DFT-relaxed cell (PBE, Alexandria)

Principal peaks in the range 10 to 90 degrees two-theta, by intensity:
d_spacing	Position (°2θ)	intensity
2.449	36.69	100.0
2.702	33.16	72.8
2.791	32.07	40.1
2.401	37.46	39.5
1.941	46.81	34.2
3.574	24.92	27.4
2.769	32.33	26.1
2.691	33.29	25.2
2.717	32.97	25.1
2.165	41.72	23.7

Structure:
```
data_Ce2P2Ru2N
_chemical_formula_sum 'Ce4 P4 Ru4 N2'
_symmetry_space_group_name_H-M 'C 1 2/m 1'
_symmetry_Int_Tables_number 12
_cell_length_a 11.297
_cell_length_b 3.881
_cell_length_c 6.702
_cell_angle_alpha 90.00
_cell_angle_beta 125.78
_cell_angle_gamma 90.00
loop_
_symmetry_equiv_pos_as_xyz
'x,y,z'
'-x,-y,-z'
'-x,y,-z'
'x,-y,z'
'x+1/2,y+1/2,z'
'-x+1/2,-y+1/2,-z'
'-x+1/2,y+1/2,-z'
'x+1/2,-y+1/2,z'
loop_
_atom_site_label
_atom_site_fract_x
_atom_site_fract_y
_atom_site_fract_z
Ce1 0.059 0.000 0.294
P1 0.177 0.500 0.706
Ru1 0.205 0.500 0.095
N1 0.000 0.500 0.000
```

=====

[4]
Simulated powder diffraction line list
Compound: PmGeAu2
Radiation: Cu Kα, 1.54184 Å
Structure: a DFT-relaxed cell (PBE, Alexandria)

Principal peaks in the range 10 to 90 degrees two-theta, by intensity:
d_spacing	Position (°2θ)	intensity
2.732	32.78	100.0
2.230	40.45	26.0
2.049	44.20	20.2
2.122	42.61	19.9
2.609	34.37	16.3
1.509	61.45	15.3
2.816	31.78	10.9
2.804	31.91	10.7
2.039	44.44	10.0
2.032	44.58	9.9

Structure:
```
data_PmGeAu2
_chemical_formula_sum 'Pm2 Ge2 Au4'
_symmetry_space_group_name_H-M 'P 1 21/m 1'
_symmetry_Int_Tables_number 11
_cell_length_a 4.099
_cell_length_b 4.460
_cell_length_c 9.857
_cell_angle_alpha 90.00
_cell_angle_beta 101.76
_cell_angle_gamma 90.00
loop_
_symmetry_equiv_pos_as_xyz
'x,y,z'
'-x,-y,-z'
'-x,y+1/2,-z'
'x,-y+1/2,z'
loop_
_atom_site_label
_atom_site_fract_x
_atom_site_fract_y
_atom_site_fract_z
Pm1 0.111 0.250 0.217
Ge1 0.328 0.250 0.661
Au1 0.257 0.750 0.513
Au2 0.460 0.250 0.921
```

=====

[5]
Simulated powder diffraction line list
Compound: NaTbNdSn
Radiation: Cu Kα, 1.54184 Å
Structure: a DFT-relaxed cell (PBE, Alexandria)

Principal peaks in the range 10 to 90 degrees two-theta, by intensity:
d_spacing	Position (°2θ)	intensity
2.711	33.05	100.0
1.565	59.03	38.1
1.917	47.43	18.3
1.212	78.98	16.5
3.833	23.20	14.9
1.355	69.34	11.8
4.426	20.06	10.7
2.312	38.96	6.2
1.714	53.45	6.1
2.213	40.77	4.5

Structure:
```
data_NaTbNdSn
_chemical_formula_sum 'Na4 Tb4 Nd4 Sn4'
_symmetry_space_group_name_H-M 'F -4 3 m'
_symmetry_Int_Tables_number 216
_symmetry_space_group_name_Hall 'F -4 2 3'
_cell_length_a 7.667
_cell_length_b 7.667
_cell_length_c 7.667
_cell_angle_alpha 90.00
_cell_angle_beta 90.00
_cell_angle_gamma 90.00
loop_
_atom_site_label
_atom_site_fract_x
_atom_site_fract_y
_atom_site_fract_z
Na1 0.000 0.000 0.000
Tb1 0.250 0.250 0.250
Nd1 0.250 0.250 0.750
Sn1 0.000 0.000 0.500
```

=====

[6]
Simulated powder diffraction line list
Compound: Mo2N3
Radiation: Cu Kα, 1.54184 Å
Structure: a DFT-relaxed cell (PBE, Alexandria)

Principal peaks in the range 10 to 90 degrees two-theta, by intensity:
d_spacing	Position (°2θ)	intensity
4.906	18.08	100.0
4.101	21.67	57.3
3.184	28.03	47.5
5.470	16.20	42.0
2.671	33.55	38.7
4.417	20.10	26.7
2.740	32.69	21.8
4.064	21.87	21.7
1.950	46.57	19.3
2.624	34.17	18.4

Structure:
```
data_Mo2N3
_chemical_formula_sum 'Mo8 N12'
_symmetry_space_group_name_H-M 'P -1'
_symmetry_Int_Tables_number 2
_cell_length_a 5.782
_cell_length_b 6.121
_cell_length_c 10.373
_cell_angle_alpha 77.31
_cell_angle_beta 75.39
_cell_angle_gamma 86.33
loop_
_symmetry_equiv_pos_as_xyz
'x,y,z'
'-x,-y,-z'
loop_
_atom_site_label
_atom_site_fract_x
_atom_site_fract_y
_atom_site_fract_z
Mo1 0.066 0.465 0.350
Mo2 0.120 0.100 0.694
Mo3 0.327 0.155 0.199
Mo4 0.409 0.286 0.827
N1 0.013 0.811 0.692
N2 0.097 0.350 0.799
N3 0.104 0.294 0.531
N4 0.369 0.219 0.013
N5 0.388 0.454 0.244
N6 0.438 0.028 0.726
```

=====

[7]
Simulated powder diffraction line list
Compound: KCu3As2O10
Radiation: Cu Kα, 1.54184 Å
Structure: a DFT-relaxed cell (PBE, Alexandria)

Principal peaks in the range 10 to 90 degrees two-theta, by intensity:
d_spacing	Position (°2θ)	intensity
7.729	11.45	100.0
3.539	25.16	47.5
2.519	35.64	22.4
1.452	64.15	19.5
3.669	24.26	17.3
3.187	28.00	16.0
2.903	30.80	15.8
2.678	33.46	14.5
2.971	30.08	13.4
2.462	36.50	13.3

Structure:
```
data_KCu3As2O10
_chemical_formula_sum 'K2 Cu6 As4 O20'
_symmetry_space_group_name_H-M 'C 1 2/m 1'
_symmetry_Int_Tables_number 12
_cell_length_a 10.165
_cell_length_b 5.806
_cell_length_c 8.953
_cell_angle_alpha 90.00
_cell_angle_beta 120.32
_cell_angle_gamma 90.00
loop_
_symmetry_equiv_pos_as_xyz
'x,y,z'
'-x,-y,-z'
'-x,y,-z'
'x,-y,z'
'x+1/2,y+1/2,z'
'-x+1/2,-y+1/2,-z'
'-x+1/2,y+1/2,-z'
'x+1/2,-y+1/2,z'
loop_
_atom_site_label
_atom_site_fract_x
_atom_site_fract_y
_atom_site_fract_z
K1 0.000 0.000 0.000
Cu1 0.000 0.000 0.500
Cu2 0.250 0.250 0.500
As1 0.081 0.500 0.749
O1 0.034 0.248 0.353
O2 0.129 0.500 0.957
O3 0.220 0.000 0.605
O4 0.222 0.500 0.702
```

=====

[8]
Simulated powder diffraction line list
Compound: Al13Ga3
Radiation: Cu Kα, 1.54184 Å
Structure: a DFT-relaxed cell (PBE, Alexandria)

Principal peaks in the range 10 to 90 degrees two-theta, by intensity:
d_spacing	Position (°2θ)	intensity
2.345	38.38	100.0
2.018	44.91	31.6
1.219	78.44	23.5
1.441	64.69	20.7
2.058	44.00	16.7
5.709	15.52	13.3
1.236	77.14	12.4
1.427	65.39	10.4
1.173	82.20	10.3
3.338	26.70	9.2

Structure:
```
data_Al13Ga3
_chemical_formula_sum 'Al26 Ga6'
_symmetry_space_group_name_H-M 'A m m 2'
_symmetry_Int_Tables_number 38
_cell_length_a 8.231
_cell_length_b 8.073
_cell_length_c 8.074
_cell_angle_alpha 90.00
_cell_angle_beta 90.00
_cell_angle_gamma 90.00
loop_
_symmetry_equiv_pos_as_xyz
'x,y,z'
'-x,-y,z'
'-x,y,z'
'x,-y,z'
'x,y+1/2,z+1/2'
'-x,-y+1/2,z+1/2'
'-x,y+1/2,z+1/2'
'x,-y+1/2,z+1/2'
loop_
_atom_site_label
_atom_site_fract_x
_atom_site_fract_y
_atom_site_fract_z
Al1 0.000 0.000 0.000
Al2 0.000 0.000 0.505
Al3 0.000 0.247 0.752
Al4 0.248 0.250 0.002
Al5 0.249 0.000 0.751
Al6 0.500 0.000 0.504
Al7 0.500 0.250 0.251
Ga1 0.244 0.000 0.254
Ga2 0.500 0.000 0.998
```